Record 1
This entry pairs a crystal structure of UC4SNClO8 with its theoretical powder X-ray diffraction pattern. Radiation: Cu Kα (weighted mean of Kα1 and Kα2). Structure: a structure optimized by DFT (PBE).

Structure:
Lattice parameters (Å, degrees): 9.9462 6.9430 11.7551 90.00 107.85 90.00
Space group P2_1 (No. 4)
Symmetry-distinct sites (fractional):
U 0.1352 0.0000 0.3882 [2 per cell]
C 0.2502 0.9797 0.0523 [2 per cell]
C 0.2632 0.9698 0.9351 [2 per cell]
C 0.2703 0.8052 0.9973 [2 per cell]
C 0.2836 0.2027 0.7779 [2 per cell]
S 0.1585 0.5024 0.4777 [2 per cell]
N 0.2700 0.0790 0.8441 [2 per cell]
Cl 0.2920 0.5684 0.0143 [2 per cell]
O 0.0385 0.0015 0.2321 [2 per cell]
O 0.0615 0.5021 0.5540 [2 per cell]
O 0.1152 0.6718 0.3929 [2 per cell]
O 0.1202 0.3285 0.3965 [2 per cell]
O 0.2512 0.9955 0.5385 [2 per cell]
O 0.3043 0.5075 0.5472 [2 per cell]
O 0.3859 0.0532 0.3099 [2 per cell]
O 0.4051 0.8790 0.3328 [2 per cell]

Main lines, low angle first (5 to 70 degrees two-theta):
2θ (°)	d/Å	Rel. int.	hkl
7.90	11.189	1000	0 0 1
9.34	9.467	479	1 0 0
13.98	6.333	512	1 0 1
15.02	5.899	298	0 1 1
15.80	5.610	365	1 1 0
16.37	5.415	286	1 1 -1
20.38	4.358	372	0 1 2
20.53	4.326	302	2 0 -2
20.77	4.276	171	1 0 2
22.76	3.908	174	1 0 -3
25.66	3.471	209	0 2 0
26.90	3.315	310	3 0 -1

=====

Record 2
This entry pairs a crystal structure of SbCNCl4O with its theoretical powder X-ray diffraction pattern. Radiation: Cu Kα (weighted mean of Kα1 and Kα2). Structure: a structure optimized by DFT (PBE).

Structure:
Lattice parameters (Å, degrees): 12.0573 12.0573 10.5363 90.00 90.00 120.00
Space group P6_3/m (No. 176)
Symmetry-distinct sites (fractional):
Sb 0.0473 0.6814 0.2500 [6 per cell]
C 0.2441 0.5408 0.2500 [6 per cell]
N 0.2061 0.6283 0.2500 [6 per cell]
Cl 0.0410 0.1851 0.7500 [6 per cell]
Cl 0.0672 0.6872 0.0271 [12 per cell]
Cl 0.1306 0.5258 0.7500 [6 per cell]
O 0.1684 0.4194 0.2500 [6 per cell]

Main lines, low angle first (5 to 70 degrees two-theta):
2θ (°)	d/Å	Rel. int.	hkl
11.93	7.417	137	1 0 1
14.69	6.029	211	1 1 0
16.83	5.268	350	0 0 2
16.94	5.233	1000	1 1 1
22.53	3.947	138	2 1 0
25.59	3.481	146	3 0 0
29.43	3.035	122	1 1 3
30.86	2.897	91	1 3 0
34.04	2.634	170	0 0 4
40.50	2.227	91	4 1 1
45.60	1.989	115	1 1 5
48.53	1.876	104	5 1 0

=====

Record 3
This entry pairs a crystal structure of ZnC2N6Cl2O2 with its theoretical powder X-ray diffraction pattern. Radiation: Cu Kα (weighted mean of Kα1 and Kα2). Structure: a structure optimized by DFT (PBE).

Structure:
Lattice parameters (Å, degrees): 6.1670 8.4681 12.6321 90.00 108.12 90.00
Space group P2_1/c (No. 14)
Symmetry-distinct sites (fractional):
Zn 0.0000 0.0000 0.0000 [2 per cell]
C 0.0932 0.1952 0.3366 [4 per cell]
N 0.0604 0.0621 0.2972 [4 per cell]
N 0.3051 0.7343 0.0305 [4 per cell]
N 0.3512 0.6099 0.0564 [4 per cell]
Cl 0.2357 0.1232 0.1382 [4 per cell]
O 0.1276 0.1774 0.8807 [4 per cell]

Main lines, low angle first (5 to 70 degrees two-theta):
2θ (°)	d/Å	Rel. int.	hkl
12.79	6.920	849	0 1 1
14.76	6.003	281	0 0 2
15.12	5.861	735	1 0 0
17.55	5.052	168	1 0 -2
17.99	4.930	1000	1 1 -1
22.26	3.993	265	0 2 1
25.02	3.558	223	1 1 -3
25.68	3.469	163	1 2 -1
28.32	3.152	191	1 2 1
30.80	2.903	306	1 1 -4
32.32	2.770	189	2 1 0
33.50	2.675	251	2 1 -3

=====

Record 4
This entry pairs a crystal structure of PbC2S2N4Cl2 with its theoretical powder X-ray diffraction pattern. Radiation: Cu Kα (weighted mean of Kα1 and Kα2). Structure: a structure optimized by DFT (PBE).

Structure:
Lattice parameters (Å, degrees): 19.6953 4.7056 15.1084 90.00 90.00 90.00
Space group Pna2_1 (No. 33)
Symmetry-distinct sites (fractional):
Pb 0.0917 0.2491 0.0000 [4 per cell]
C 0.1242 0.8316 0.6756 [4 per cell]
C 0.1535 0.6148 0.2762 [4 per cell]
S 0.1081 0.7505 0.1188 [4 per cell]
S 0.1772 0.7396 0.7487 [4 per cell]
N 0.0583 0.9081 0.6479 [4 per cell]
N 0.1053 0.8995 0.5881 [4 per cell]
N 0.1507 0.7817 0.2079 [4 per cell]
N 0.1587 0.4726 0.3407 [4 per cell]
Cl 0.0361 0.7573 0.9272 [4 per cell]
Cl 0.2098 0.2771 0.9425 [4 per cell]

Main lines, low angle first (5 to 70 degrees two-theta):
2θ (°)	d/Å	Rel. int.	hkl
10.72	8.250	1000	2 0 1
11.71	7.554	302	0 0 2
14.78	5.994	143	2 0 2
18.02	4.924	131	4 0 0
18.96	4.681	138	4 0 1
19.78	4.488	463	2 0 3
24.04	3.701	439	2 1 2
25.91	3.438	155	0 1 3
29.67	3.011	143	6 0 2
31.72	2.821	222	2 1 4
35.51	2.528	135	4 1 4
39.86	2.262	165	2 2 1